Entry 1:
Starting from a crystal structure in Alexandria, relaxed with PBE+U, the powder diffractogram of LiMn2F7 was calculated for Cu Ka.

Unit cell a=5.460 b=10.492 c=9.742 alpha=90.00 beta=104.26 gamma=90.00
Space group Cc (No. 9)
One atom of each set of equivalent atoms:
Li: 0.000 0.229 0.000
Mn: 0.061 0.476 0.556
Mn: 0.120 0.050 0.711
F: 0.066 0.186 0.817
F: 0.165 0.335 0.476
F: 0.211 0.092 0.108
F: 0.292 0.442 0.730
F: 0.349 0.027 0.374
F: 0.374 0.396 0.048
F: 0.437 0.125 0.629

Top 12 peaks for 10° ≤ 2θ ≤ 90°, in order of falling intensity:
2θ = 16.90°, rel. 100.0
2θ = 23.53°, rel. 48.8
2θ = 18.79°, rel. 40.3
2θ = 29.54°, rel. 31.0
2θ = 38.69°, rel. 24.4
2θ = 25.38°, rel. 23.3
2θ = 37.15°, rel. 21.4
2θ = 33.86°, rel. 18.9
2θ = 46.64°, rel. 18.2
2θ = 30.82°, rel. 14.1
2θ = 19.36°, rel. 12.7
2θ = 61.09°, rel. 12.6

***

Entry 2:
Starting from a crystal structure in Alexandria, relaxed with PBE+U, the powder diffractogram of LiMnF6 was calculated for Cu Ka.

Unit cell a=4.9646 b=4.9646 c=8.9233 alpha=90.00 beta=90.00 gamma=120.00
Space group P-31c (No. 163)
One atom of each set of equivalent atoms:
Li: 0.3333 0.6667 0.2500
Mn: 0.0000 0.0000 0.0000
F: 0.0215 0.3098 0.1178

Top 12 peaks for 10° ≤ 2θ ≤ 90°, in order of falling intensity:
2θ = 20.66°, rel. 100.0
2θ = 41.64°, rel. 67.5
2θ = 28.84°, rel. 63.9
2θ = 55.37°, rel. 31.4
2θ = 19.90°, rel. 29.2
2θ = 60.65°, rel. 16.2
2θ = 65.08°, rel. 15.5
2θ = 46.92°, rel. 13.6
2θ = 59.74°, rel. 11.1
2θ = 74.35°, rel. 9.3
2θ = 71.88°, rel. 8.2
2θ = 45.82°, rel. 7.1

***

Entry 3:
Starting from a crystal structure in Alexandria, relaxed with PBE+U, the powder diffractogram of LiMnF3 was calculated for Cu Ka.

Unit cell a=8.972 b=12.311 c=4.715 alpha=90.00 beta=90.00 gamma=90.00
Space group Ibam (No. 72)
One atom of each set of equivalent atoms:
Li: 0.000 0.147 0.250
Mn: 0.143 0.397 0.000
F: 0.105 0.425 0.500
F: 0.106 0.236 0.000
F: 0.133 0.083 0.500

Top 12 peaks for 10° ≤ 2θ ≤ 90°, in order of falling intensity:
2θ = 12.21°, rel. 100.0
2θ = 25.79°, rel. 96.3
2θ = 38.17°, rel. 52.9
2θ = 40.21°, rel. 51.8
2θ = 28.40°, rel. 45.0
2θ = 59.77°, rel. 32.2
2θ = 56.64°, rel. 27.5
2θ = 44.14°, rel. 23.7
2θ = 29.01°, rel. 23.2
2θ = 30.77°, rel. 21.0
2θ = 56.91°, rel. 19.8
2θ = 36.27°, rel. 17.1

***

Entry 4:
Starting from a crystal structure in Alexandria, relaxed with PBE+U, the powder diffractogram of LiMnF3 was calculated for Cu Ka.

Unit cell a=3.019 b=9.714 c=7.132 alpha=90.00 beta=90.00 gamma=90.00
Space group Cmcm (No. 63)
One atom of each set of equivalent atoms:
Li: 0.000 0.000 0.000
Mn: 0.000 0.253 0.250
F: 0.000 0.090 0.750
F: 0.000 0.357 0.568

Top 12 peaks for 10° ≤ 2θ ≤ 90°, in order of falling intensity:
2θ = 42.87°, rel. 100.0
2θ = 18.26°, rel. 96.9
2θ = 49.71°, rel. 51.0
2θ = 31.11°, rel. 41.8
2θ = 24.97°, rel. 33.9
2θ = 33.53°, rel. 32.4
2θ = 56.91°, rel. 23.8
2θ = 57.90°, rel. 23.8
2θ = 42.33°, rel. 23.6
2θ = 45.17°, rel. 23.5
2θ = 80.09°, rel. 18.5
2θ = 63.06°, rel. 18.0

***

Entry 5:
Starting from a crystal structure in Alexandria, relaxed with PBE+U, the powder diffractogram of Li3MnF5 was calculated for Cu Ka.

Unit cell a=5.134 b=5.694 c=7.867 alpha=97.04 beta=107.97 gamma=112.02
Space group P-1 (No. 2)
One atom of each set of equivalent atoms:
Li: 0.060 0.440 0.202
Li: 0.316 0.541 0.590
Li: 0.333 0.973 0.203
Mn: 0.000 0.000 0.500
Mn: 0.500 0.500 0.000
F: 0.044 0.289 0.960
F: 0.122 0.705 0.428
F: 0.249 0.251 0.362
F: 0.371 0.734 0.831
F: 0.442 0.251 0.740

Top 12 peaks for 10° ≤ 2θ ≤ 90°, in order of falling intensity:
2θ = 18.44°, rel. 100.0
2θ = 19.19°, rel. 85.8
2θ = 39.85°, rel. 79.3
2θ = 20.13°, rel. 69.1
2θ = 24.00°, rel. 57.4
2θ = 48.17°, rel. 56.9
2θ = 27.56°, rel. 46.2
2θ = 29.52°, rel. 44.3
2θ = 51.73°, rel. 42.9
2θ = 37.92°, rel. 41.1
2θ = 24.71°, rel. 39.4
2θ = 38.81°, rel. 35.6

***

Entry 6:
Starting from a crystal structure in Alexandria, relaxed with PBE+U, the powder diffractogram of LiMnF3 was calculated for Cu Ka.

Unit cell a=5.4016 b=5.4016 c=9.7935 alpha=90.00 beta=90.00 gamma=120.00
Space group P-31c (No. 163)
One atom of each set of equivalent atoms:
Li: 0.3333 0.6667 0.0627
Mn: 0.0000 0.0000 0.2500
Mn: 0.3333 0.6667 0.7500
F: 0.0089 0.3400 0.6289

Top 12 peaks for 10° ≤ 2θ ≤ 90°, in order of falling intensity:
2θ = 38.05°, rel. 100.0
2θ = 18.12°, rel. 69.4
2θ = 50.30°, rel. 56.7
2θ = 21.05°, rel. 53.6
2θ = 59.26°, rel. 30.6
2θ = 33.47°, rel. 20.8
2θ = 66.99°, rel. 18.6
2θ = 33.17°, rel. 14.1
2θ = 26.35°, rel. 13.4
2θ = 62.51°, rel. 11.8
2θ = 81.38°, rel. 10.9
2θ = 72.63°, rel. 10.6

***

Entry 7:
Starting from a crystal structure in Alexandria, relaxed with PBE+U, the powder diffractogram of LiMnF5 was calculated for Cu Ka.

Unit cell a=7.149 b=8.176 c=10.292 alpha=102.55 beta=95.96 gamma=102.40
Space group P-1 (No. 2)
One atom of each set of equivalent atoms:
Li: 0.156 0.496 0.208
Li: 0.209 0.155 0.192
Li: 0.315 0.151 0.846
Mn: 0.197 0.114 0.504
Mn: 0.204 0.812 0.022
Mn: 0.335 0.533 0.738
F: 0.022 0.262 0.104
F: 0.052 0.884 0.428
F: 0.072 0.466 0.717
F: 0.077 0.898 0.153
F: 0.105 0.190 0.362
F: 0.171 0.606 0.065
F: 0.247 0.029 0.985
F: 0.274 0.054 0.656
F: 0.322 0.665 0.623
F: 0.338 0.347 0.588
F: 0.350 0.730 0.882
F: 0.351 0.392 0.853
F: 0.392 0.401 0.239
F: 0.395 0.077 0.425
F: 0.429 0.891 0.140

Top 12 peaks for 10° ≤ 2θ ≤ 90°, in order of falling intensity:
2θ = 17.04°, rel. 100.0
2θ = 23.57°, rel. 41.2
2θ = 19.04°, rel. 40.7
2θ = 18.72°, rel. 34.2
2θ = 26.42°, rel. 26.1
2θ = 20.34°, rel. 22.8
2θ = 22.51°, rel. 14.9
2θ = 25.84°, rel. 13.9
2θ = 25.46°, rel. 13.1
2θ = 17.87°, rel. 12.8
2θ = 40.23°, rel. 11.6
2θ = 43.73°, rel. 10.8

***

Entry 8:
Starting from a crystal structure in Alexandria, relaxed with PBE+U, the powder diffractogram of LiMnF3 was calculated for Cu Ka.

Unit cell a=5.9150 b=5.9150 c=11.6731 alpha=90.00 beta=90.00 gamma=120.00
Space group P6_3cm (No. 185)
One atom of each set of equivalent atoms:
Li: 0.0000 0.3359 0.0000
Mn: 0.0000 0.0000 0.2137
Mn: 0.3333 0.6667 0.2774
F: 0.0000 0.0000 0.0330
F: 0.0000 0.2913 0.8268
F: 0.0000 0.3754 0.1720
F: 0.3333 0.6667 0.4682

Top 12 peaks for 10° ≤ 2θ ≤ 90°, in order of falling intensity:
2θ = 15.18°, rel. 100.0
2θ = 30.22°, rel. 62.7
2θ = 43.57°, rel. 47.5
2θ = 53.68°, rel. 43.2
2θ = 33.98°, rel. 21.5
2θ = 50.16°, rel. 18.6
2θ = 23.10°, rel. 18.6
2θ = 38.38°, rel. 17.9
2θ = 38.22°, rel. 15.4
2θ = 31.20°, rel. 14.6
2θ = 56.12°, rel. 13.8
2θ = 68.35°, rel. 13.6